# Ho8TmTl6
Simulated powder diffractogram, λ = 1.5418 Å (Cu Kα). Input: a DFT-relaxed cell (GGA-PBE, Alexandria).
No peak broadening, texture or thermal motion is included.

Structure:
```
data_Ho8TmTl6
_cell_length_a 9.0427
_cell_length_b 9.0427
_cell_length_c 19.4687
_cell_angle_alpha 90.00
_cell_angle_beta 90.00
_cell_angle_gamma 120.00
_space_group_name_H-M_alt 'R -3'
_space_group_IT_number 148
_space_group_name_Hall '-R 3'
loop_
_atom_site_label
_atom_site_fract_x
_atom_site_fract_y
_atom_site_fract_z
Ho1 0.0000 0.0000 0.1666
Ho2 0.0000 0.3334 0.0577
Tm1 0.0000 0.0000 0.5000
Tl1 0.9999 0.3323 0.5645
```

The 10 most intense peaks (2θ = 10–90°), in order of rising 2θ:
h k l  two_theta  I (rel.)
1 1 0  19.6  20
2 -1 3  24.0  22
2 -1 6  34.0  98
3 0 0  34.4  100
2 2 6  49.1  35
1 1 12  60.6  20
5 -1 6  61.3  36
3 3 0  61.5  19
4 1 12  81.9  17
5 2 6  82.5  16

=====

# Cs3PaTl2O6
Simulated powder diffractogram, λ = 1.5418 Å (Cu Kα). Input: a DFT-relaxed cell (GGA-PBE, Alexandria).
No peak broadening, texture or thermal motion is included.

Structure:
```
data_Cs3PaTl2O6
_cell_length_a 6.5553
_cell_length_b 6.5553
_cell_length_c 7.8737
_cell_angle_alpha 90.00
_cell_angle_beta 90.00
_cell_angle_gamma 120.00
_space_group_name_H-M_alt 'P -3 m 1'
_space_group_IT_number 164
_space_group_name_Hall '-P 3 2"'
loop_
_atom_site_label
_atom_site_fract_x
_atom_site_fract_y
_atom_site_fract_z
Cs1 0.0000 0.0000 0.0000
Cs2 0.3333 0.6667 0.6689
Pa1 0.0000 0.0000 0.5000
Tl1 0.3333 0.6667 0.2112
O1 0.1548 0.3095 0.3398
```

The 10 most intense peaks (2θ = 10–90°), in order of rising 2θ:
h k l  two_theta  I (rel.)
1 0 1  19.3  16
1 1 0  27.2  100
0 1 2  27.6  92
2 0 2  39.1  45
3 0 0  48.1  21
1 2 2  48.3  41
1 0 4  49.0  13
2 2 0  56.1  17
3 1 2  63.7  18
2 1 4  64.2  12

=====

# PmRuO4F
Simulated powder diffractogram, λ = 1.5418 Å (Cu Kα). Input: a DFT-relaxed cell (GGA-PBE, Alexandria).
No peak broadening, texture or thermal motion is included.

Structure:
```
data_PmRuO4F
_cell_length_a 9.735
_cell_length_b 7.417
_cell_length_c 7.068
_cell_angle_alpha 90.00
_cell_angle_beta 106.23
_cell_angle_gamma 90.00
_space_group_name_H-M_alt 'C 1 2/m 1'
_space_group_IT_number 12
loop_
_space_group_symop_operation_xyz
'x,y,z'
'-x,-y,-z'
'-x,y,-z'
'x,-y,z'
'x+1/2,y+1/2,z'
'-x+1/2,-y+1/2,-z'
'-x+1/2,y+1/2,-z'
'x+1/2,-y+1/2,z'
loop_
_atom_site_label
_atom_site_fract_x
_atom_site_fract_y
_atom_site_fract_z
Pm1 0.203 0.000 0.099
Ru1 0.150 0.500 0.288
O1 0.036 0.500 0.748
O2 0.202 0.322 0.143
O3 0.248 0.500 0.538
F1 0.012 0.000 0.825
```

The 10 most intense peaks (2θ = 10–90°), in order of rising 2θ:
h k l  two_theta  I (rel.)
0 0 1  13.0  59
2 0 0  19.0  59
0 2 0  24.0  100
2 0 1  26.0  54
1 1 -2  28.1  81
3 1 -1  30.5  41
3 1 -2  35.4  31
2 2 1  35.7  28
1 3 -2  44.8  31
1 1 3  45.5  31

=====

# Na2DyF6
Simulated powder diffractogram, λ = 1.5418 Å (Cu Kα). Input: a DFT-relaxed cell (GGA-PBE, Alexandria).
No peak broadening, texture or thermal motion is included.

Structure:
```
data_Na2DyF6
_cell_length_a 3.891
_cell_length_b 5.209
_cell_length_c 12.215
_cell_angle_alpha 90.00
_cell_angle_beta 90.00
_cell_angle_gamma 90.00
_space_group_name_H-M_alt 'I m m m'
_space_group_IT_number 71
_space_group_name_Hall '-I 2 2'
loop_
_atom_site_label
_atom_site_fract_x
_atom_site_fract_y
_atom_site_fract_z
Na1 0.000 0.000 0.171
Dy1 0.000 0.000 0.500
F1 0.000 0.238 0.344
F2 0.000 0.262 0.000
```

The 10 most intense peaks (2θ = 10–90°), in order of rising 2θ:
h k l  two_theta  I (rel.)
0 0 2  14.5  86
0 1 1  18.5  100
1 0 1  24.0  53
0 1 3  27.8  78
1 1 0  28.6  77
1 1 2  32.2  41
0 0 6  44.5  25
1 2 3  47.6  84
1 1 6  53.8  26
2 1 3  55.2  23

=====

# Nd2SmTh3
Simulated powder diffractogram, λ = 1.5418 Å (Cu Kα). Input: a DFT-relaxed cell (GGA-PBE, Alexandria).
No peak broadening, texture or thermal motion is included.

Structure:
```
data_Nd2SmTh3
_cell_length_a 10.338
_cell_length_b 11.477
_cell_length_c 6.819
_cell_angle_alpha 90.00
_cell_angle_beta 90.00
_cell_angle_gamma 90.00
_space_group_name_H-M_alt 'C m c m'
_space_group_IT_number 63
_space_group_name_Hall '-C 2c 2'
loop_
_atom_site_label
_atom_site_fract_x
_atom_site_fract_y
_atom_site_fract_z
Nd1 0.167 0.230 0.250
Sm1 0.000 0.270 0.750
Th1 0.000 0.000 0.000
Th2 0.166 0.500 0.000
```

The 10 most intense peaks (2θ = 10–90°), in order of rising 2θ:
h k l  two_theta  I (rel.)
3 1 0  27.0  43
3 1 1  30.1  33
0 2 2  30.5  100
0 4 0  31.2  44
3 3 0  35.0  40
3 3 1  37.5  16
3 1 2  37.9  49
3 3 2  44.2  16
0 6 2  55.1  44
6 2 2  62.5  27

=====

# VMo6W
Simulated powder diffractogram, λ = 1.5418 Å (Cu Kα). Input: a DFT-relaxed cell (GGA-PBE, Alexandria).
No peak broadening, texture or thermal motion is included.

Structure:
```
data_VMo6W
_cell_length_a 6.300
_cell_length_b 8.900
_cell_length_c 4.453
_cell_angle_alpha 90.00
_cell_angle_beta 90.00
_cell_angle_gamma 90.00
_space_group_name_H-M_alt 'C m m m'
_space_group_IT_number 65
_space_group_name_Hall '-C 2 2'
loop_
_atom_site_label
_atom_site_fract_x
_atom_site_fract_y
_atom_site_fract_z
V1 0.000 0.000 0.000
Mo1 0.000 0.249 0.500
Mo2 0.247 0.000 0.500
Mo3 0.250 0.250 0.000
W1 0.000 0.500 0.000
```

The 10 most intense peaks (2θ = 10–90°), in order of rising 2θ:
h k l  two_theta  I (rel.)
1 1 0  17.2  6
1 1 1  26.5  6
1 3 0  33.4  1
1 3 1  39.2  2
2 2 1  40.5  100
3 1 0  44.3  2
3 3 0  53.5  2
4 0 0  58.6  16
4 4 0  73.7  33
4 4 2  87.7  11